(1)
The following is a simulated powder XRD pattern of BaSr7Fe6Co2O24. It was derived from the PBE+U geometry in the Materials Project, using λ = 1.5418 Å (Cu Kα).

Atomic structure:
Lattice parameters (Å, degrees): 7.883 7.822 7.822 89.80 90.00 90.00
Fractional coordinates of all 40 atoms:
Ba 0.000 0.000 0.000
Sr 0.000 0.000 0.496
Sr 0.000 0.496 0.000
Sr 0.000 0.496 0.496
Sr 0.500 0.000 0.000
Sr 0.500 0.000 0.496
Sr 0.500 0.496 0.000
Sr 0.500 0.496 0.496
Fe 0.251 0.249 0.747
Fe 0.251 0.747 0.249
Fe 0.251 0.747 0.747
Fe 0.749 0.249 0.747
Fe 0.749 0.747 0.249
Fe 0.749 0.747 0.747
Co 0.252 0.249 0.249
Co 0.748 0.249 0.249
O 0.000 0.252 0.252
O 0.000 0.252 0.744
O 0.000 0.744 0.252
O 0.000 0.744 0.744
O 0.251 0.250 0.489
O 0.251 0.489 0.250
O 0.251 0.497 0.747
O 0.251 0.747 0.497
O 0.254 0.007 0.251
O 0.254 0.251 0.007
O 0.254 0.744 0.999
O 0.254 0.999 0.744
O 0.500 0.249 0.249
O 0.500 0.249 0.747
O 0.500 0.747 0.249
O 0.500 0.747 0.747
O 0.746 0.007 0.251
O 0.746 0.251 0.007
O 0.746 0.744 0.999
O 0.746 0.999 0.744
O 0.749 0.250 0.489
O 0.749 0.489 0.250
O 0.749 0.497 0.747
O 0.749 0.747 0.497

Most intense lines, 2θ from 10° to 90°, by intensity:
2θ = 32.26°, intensity 100
2θ = 46.44°, intensity 30
2θ = 32.43°, intensity 20
2θ = 67.48°, intensity 17
2θ = 39.82°, intensity 16
2θ = 46.06°, intensity 15
2θ = 57.42°, intensity 15
2θ = 57.59°, intensity 15
2θ = 57.74°, intensity 15
2θ = 77.05°, intensity 10

(2)
The following is a simulated powder XRD pattern of BaSr7Fe7CoO24. It was derived from the PBE+U geometry in the Materials Project, using λ = 1.5418 Å (Cu Kα).

Atomic structure:
Lattice parameters (Å, degrees): 7.858 7.858 7.858 89.99 89.99 89.99
Fractional coordinates of all 40 atoms:
Ba 0.000 0.000 0.000
Sr 0.000 0.000 0.500
Sr 0.000 0.500 0.000
Sr 0.000 0.500 0.500
Sr 0.500 0.000 0.000
Sr 0.500 0.000 0.500
Sr 0.500 0.500 0.000
Sr 0.500 0.500 0.500
Fe 0.251 0.251 0.251
Fe 0.251 0.251 0.749
Fe 0.251 0.749 0.251
Fe 0.251 0.749 0.749
Fe 0.749 0.251 0.251
Fe 0.749 0.251 0.749
Fe 0.749 0.749 0.251
Co 0.749 0.749 0.749
O 0.001 0.253 0.253
O 0.250 0.501 0.750
O 0.250 0.750 0.501
O 0.251 0.251 0.499
O 0.251 0.499 0.251
O 0.253 0.001 0.253
O 0.253 0.253 0.001
O 0.253 0.747 0.999
O 0.253 0.999 0.747
O 0.499 0.251 0.251
O 0.501 0.250 0.750
O 0.501 0.750 0.250
O 0.507 0.750 0.750
O 0.747 0.253 0.999
O 0.747 0.747 0.993
O 0.747 0.993 0.747
O 0.747 0.999 0.253
O 0.750 0.250 0.501
O 0.750 0.501 0.250
O 0.750 0.507 0.750
O 0.750 0.750 0.507
O 0.993 0.747 0.747
O 0.999 0.253 0.747
O 0.999 0.747 0.253

Most intense lines, 2θ from 10° to 90°, by intensity:
2θ = 32.22°, intensity 100
2θ = 57.45°, intensity 38
2θ = 46.21°, intensity 38
2θ = 67.42°, intensity 22
2θ = 76.70°, intensity 16
2θ = 39.73°, intensity 14
2θ = 85.64°, intensity 7
2θ = 81.20°, intensity 4
2θ = 22.63°, intensity 1
2θ = 52.05°, intensity 1

(3)
The following is a simulated powder XRD pattern of Ba6Ga2Co11O26. It was derived from the PBE+U geometry in the Materials Project, using λ = 1.5418 Å (Cu Kα).

Atomic structure:
Lattice parameters (Å, degrees): 5.812 5.812 19.260 90.00 90.00 120.00
Fractional coordinates of all 45 atoms:
Ba 0.000 0.000 0.194
Ba 0.000 0.000 0.806
Ba 0.333 0.667 0.332
Ba 0.333 0.667 0.553
Ba 0.667 0.333 0.447
Ba 0.667 0.333 0.668
Ga 0.333 0.667 0.153
Ga 0.667 0.333 0.847
Co 0.000 0.000 0.000
Co 0.000 0.000 0.373
Co 0.000 0.000 0.500
Co 0.000 0.000 0.627
Co 0.000 0.500 0.000
Co 0.333 0.667 0.725
Co 0.333 0.667 0.873
Co 0.500 0.000 0.000
Co 0.500 0.500 0.000
Co 0.667 0.333 0.127
Co 0.667 0.333 0.275
O 0.014 0.507 0.812
O 0.147 0.293 0.436
O 0.147 0.853 0.436
O 0.162 0.325 0.684
O 0.162 0.838 0.684
O 0.173 0.347 0.941
O 0.173 0.827 0.941
O 0.293 0.147 0.564
O 0.325 0.162 0.316
O 0.333 0.667 0.057
O 0.347 0.173 0.059
O 0.493 0.507 0.812
O 0.493 0.986 0.812
O 0.507 0.014 0.188
O 0.507 0.493 0.188
O 0.653 0.827 0.941
O 0.667 0.333 0.943
O 0.675 0.838 0.684
O 0.707 0.853 0.436
O 0.827 0.173 0.059
O 0.827 0.653 0.059
O 0.838 0.162 0.316
O 0.838 0.675 0.316
O 0.853 0.147 0.564
O 0.853 0.707 0.564
O 0.986 0.493 0.188

Most intense lines, 2θ from 10° to 90°, by intensity:
2θ = 30.77°, intensity 100
2θ = 29.19°, intensity 56
2θ = 42.93°, intensity 44
2θ = 64.09°, intensity 27
2θ = 40.44°, intensity 24
2θ = 37.24°, intensity 19
2θ = 54.71°, intensity 19
2θ = 53.74°, intensity 19
2θ = 60.54°, intensity 17
2θ = 45.82°, intensity 14